# 1
Diffraction record for EuMnSnWO6. The PXRD pattern is computed, not measured: it uses the GGA+U geometry in the Materials Project and CuKα.

Top 8 peaks for 10° ≤ 2θ ≤ 90°, by angle:
index	2theta	I/Imax
1 1 1	18.9	18
2 2 0	31.0	100
3 1 1	36.6	9
4 0 0	44.4	30
4 2 2	55.2	40
4 4 0	64.7	18
6 2 0	73.5	18
4 4 4	81.9	6

Atomic structure:
```
data_EuMnSnWO6
_cell_length_a 8.1528
_cell_length_b 8.1528
_cell_length_c 8.1528
_cell_angle_alpha 90.00
_cell_angle_beta 90.00
_cell_angle_gamma 90.00
_space_group_name_H-M_alt 'F -4 3 m'
_space_group_IT_number 216
_space_group_name_Hall 'F -4 2 3'
loop_
_atom_site_label
_atom_site_type_symbol
_atom_site_fract_x
_atom_site_fract_y
_atom_site_fract_z
Eu1 Eu 0.0000 0.0000 0.0000
Mn1 Mn 0.2500 0.2500 0.7500
Sn1 Sn 0.0000 0.0000 0.5000
W1 W 0.2500 0.2500 0.2500
O1 O 0.0112 0.2500 0.2500
```

---

# 2
Diffraction record for NaMgFeSe2O8. The PXRD pattern is computed, not measured: it uses the GGA+U geometry in the Materials Project and CuKα.

Top 8 peaks for 10° ≤ 2θ ≤ 90°, by angle:
index	2theta	I/Imax
0 0 1	12.1	35
2 0 0	21.4	25
1 1 -1	21.5	100
2 0 1	24.6	66
1 1 -2	30.2	60
3 1 0	35.4	28
2 2 1	38.0	37
1 1 3	41.2	26

Atomic structure:
```
data_NaMgFeSe2O8
_cell_length_a 8.3181
_cell_length_b 6.2680
_cell_length_c 7.3160
_cell_angle_alpha 90.00
_cell_angle_beta 90.19
_cell_angle_gamma 90.00
_space_group_name_H-M_alt 'C 1 2 1'
_space_group_IT_number 5
loop_
_space_group_symop_operation_xyz
'x,y,z'
'-x,y,-z'
'x+1/2,y+1/2,z'
'-x+1/2,y+1/2,-z'
loop_
_atom_site_label
_atom_site_type_symbol
_atom_site_fract_x
_atom_site_fract_y
_atom_site_fract_z
Na1 Na 0.0000 0.0000 0.0000
Mg1 Mg 0.0000 0.5128 0.0000
Fe1 Fe 0.0000 0.8073 0.5000
Se1 Se 0.1198 0.3042 0.3022
O1 O 0.0128 0.5618 0.2743
O2 O 0.0228 0.0596 0.3008
O3 O 0.1903 0.3101 0.0769
O4 O 0.2427 0.8146 0.5304
```

---

# 3
Diffraction record for MgVCl2O. The PXRD pattern is computed, not measured: it uses the GGA+U geometry in the Materials Project and CuKα.

Top 8 peaks for 10° ≤ 2θ ≤ 90°, by angle:
index	2theta	I/Imax
1 0 0	24.6	48
1 0 1	25.5	55
0 1 -1	29.4	100
0 1 2	31.2	96
1 0 2	32.5	59
1 1 0	33.8	86
0 0 3	40.7	49
0 2 1	46.1	55

Atomic structure:
```
data_MgVCl2O
_cell_length_a 3.7057
_cell_length_b 3.9569
_cell_length_c 7.0113
_cell_angle_alpha 76.14
_cell_angle_beta 77.42
_cell_angle_gamma 86.26
_space_group_name_H-M_alt 'P 1'
_space_group_IT_number 1
loop_
_space_group_symop_operation_xyz
'x,y,z'
loop_
_atom_site_label
_atom_site_type_symbol
_atom_site_fract_x
_atom_site_fract_y
_atom_site_fract_z
Mg1 Mg 0.0000 0.0000 0.0000
V1 V 0.6660 0.3015 0.6008
Cl1 Cl 0.5307 0.5573 0.0192
Cl2 Cl 0.9208 0.9123 0.3642
O1 O 0.1374 0.2083 0.7191
```

---

# 4
Diffraction record for Li2NiP4O12. The PXRD pattern is computed, not measured: it uses the GGA+U geometry in the Materials Project and CuKα.

Top 8 peaks for 10° ≤ 2θ ≤ 90°, by angle:
index	2theta	I/Imax
0 0 1	12.9	62
1 -1 0	19.2	22
0 0 2	26.0	15
1 1 -1	27.0	100
1 -2 0	27.7	31
1 -2 1	27.9	30
1 -1 2	32.3	29
-1 1 2	32.8	29

Atomic structure:
```
data_Li2NiP4O12
_cell_length_a 4.9281
_cell_length_b 7.1161
_cell_length_c 7.5852
_cell_angle_alpha 109.53
_cell_angle_beta 97.98
_cell_angle_gamma 110.10
_space_group_name_H-M_alt 'P -1'
_space_group_IT_number 2
loop_
_space_group_symop_operation_xyz
'x,y,z'
'-x,-y,-z'
loop_
_atom_site_label
_atom_site_type_symbol
_atom_site_fract_x
_atom_site_fract_y
_atom_site_fract_z
Li1 Li 0.2412 0.2588 0.0558
Ni1 Ni 0.5000 0.5000 0.5000
P1 P 0.1332 0.6914 0.2880
P2 P 0.3405 0.9026 0.7157
O1 O 0.1043 0.8133 0.5034
O2 O 0.1512 0.3773 0.8593
O3 O 0.1894 0.9589 0.8686
O4 O 0.2405 0.5172 0.2943
O5 O 0.4058 0.8778 0.2701
O6 O 0.4760 0.7393 0.7080
```

---

# 5
Diffraction record for Li2Co3BiO8. The PXRD pattern is computed, not measured: it uses the GGA+U geometry in the Materials Project and CuKα.

Top 8 peaks for 10° ≤ 2θ ≤ 90°, by angle:
index	2theta	I/Imax
1 0 1	18.6	100
0 1 2	21.2	20
0 1 5	34.4	22
1 1 3	35.7	41
2 0 2	37.7	17
0 2 4	43.2	39
2 1 1	48.3	14
2 0 8	61.1	13

Atomic structure:
```
data_Li2Co3BiO8
_cell_length_a 5.7957
_cell_length_b 5.7957
_cell_length_c 15.2344
_cell_angle_alpha 90.00
_cell_angle_beta 90.00
_cell_angle_gamma 120.00
_space_group_name_H-M_alt 'R -3 m'
_space_group_IT_number 166
_space_group_name_Hall '-R 3 2"'
loop_
_atom_site_label
_atom_site_type_symbol
_atom_site_fract_x
_atom_site_fract_y
_atom_site_fract_z
Li1 Li 0.0000 0.0000 0.1192
Co1 Co 0.0000 0.5000 0.0000
Bi1 Bi 0.0000 0.0000 0.5000
O1 O 0.0000 0.0000 0.2666
O2 O 0.0213 0.5106 0.2644
```

---

# 6
Diffraction record for Ga2WO6. The PXRD pattern is computed, not measured: it uses the GGA+U geometry in the Materials Project and CuKα.

Top 8 peaks for 10° ≤ 2θ ≤ 90°, by angle:
index	2theta	I/Imax
1 0 -2	19.1	18
0 1 1	20.0	27
2 0 0	24.7	31
0 1 3	29.8	100
2 1 -1	31.6	57
2 1 1	32.4	33
0 2 0	37.4	17
2 2 -4	55.0	26

Atomic structure:
```
data_Ga2WO6
_cell_length_a 7.2295
_cell_length_b 4.8029
_cell_length_c 11.5184
_cell_angle_alpha 90.00
_cell_angle_beta 93.91
_cell_angle_gamma 90.00
_space_group_name_H-M_alt 'P 1 2/c 1'
_space_group_IT_number 13
loop_
_space_group_symop_operation_xyz
'x,y,z'
'-x,-y,-z'
'-x,y,-z+1/2'
'x,-y,z+1/2'
loop_
_atom_site_label
_atom_site_type_symbol
_atom_site_fract_x
_atom_site_fract_y
_atom_site_fract_z
Ga1 Ga 0.0000 0.2103 0.2500
Ga2 Ga 0.2429 0.2419 0.6183
Ga3 Ga 0.5000 0.2878 0.2500
W1 W 0.2563 0.2664 0.8959
O1 O 0.0129 0.0718 0.8707
O2 O 0.1675 0.4362 0.4728
O3 O 0.1876 0.4921 0.2405
O4 O 0.3166 0.0037 0.7622
O5 O 0.3302 0.0561 0.0211
O6 O 0.4972 0.4367 0.6266
```

---

# 7
Diffraction record for LiCrFeO4. The PXRD pattern is computed, not measured: it uses the GGA+U geometry in the Materials Project and CuKα.

Top 8 peaks for 10° ≤ 2θ ≤ 90°, by angle:
index	2theta	I/Imax
0 1 1	18.1	100
1 0 1	18.4	92
1 2 1	35.0	33
2 1 1	35.5	39
1 0 3	35.6	17
2 2 0	42.8	71
0 0 4	43.2	34
2 2 4	62.5	41

Atomic structure:
```
data_LiCrFeO4
_cell_length_a 5.9007
_cell_length_b 6.0556
_cell_length_c 8.3711
_cell_angle_alpha 90.00
_cell_angle_beta 90.00
_cell_angle_gamma 90.00
_space_group_name_H-M_alt 'I m m a'
_space_group_IT_number 74
_space_group_name_Hall '-I 2b 2'
loop_
_atom_site_label
_atom_site_type_symbol
_atom_site_fract_x
_atom_site_fract_y
_atom_site_fract_z
Li1 Li 0.0000 0.2500 0.1260
Cr1 Cr 0.2500 0.2500 0.7500
Fe1 Fe 0.0000 0.0000 0.5000
O1 O 0.0000 0.0342 0.7427
O2 O 0.2303 0.2500 0.5198
```

---

# 8
Diffraction record for Li4TiV3O8. The PXRD pattern is computed, not measured: it uses the GGA+U geometry in the Materials Project and CuKα.

Top 8 peaks for 10° ≤ 2θ ≤ 90°, by angle:
index	2theta	I/Imax
0 0 1	18.1	100
0 2 -1	35.1	31
2 -2 1	35.4	13
0 2 0	42.6	56
2 -2 2	42.9	30
2 0 1	46.7	15
2 0 2	61.8	22
4 -2 0	62.3	15

Atomic structure:
```
data_Li4TiV3O8
_cell_length_a 5.9651
_cell_length_b 5.9667
_cell_length_c 5.9989
_cell_angle_alpha 119.76
_cell_angle_beta 90.42
_cell_angle_gamma 119.53
_space_group_name_H-M_alt 'P 1'
_space_group_IT_number 1
loop_
_space_group_symop_operation_xyz
'x,y,z'
loop_
_atom_site_label
_atom_site_type_symbol
_atom_site_fract_x
_atom_site_fract_y
_atom_site_fract_z
Li1 Li 0.0000 0.0000 0.0000
Li2 Li 0.0037 0.5016 0.9994
Li3 Li 0.4991 0.9969 0.0014
Li4 Li 0.5057 0.5004 0.9969
Ti1 Ti 0.5019 0.5026 0.4996
V1 V 0.0013 0.5026 0.4996
V2 V 0.0026 0.0033 0.4990
V3 V 0.5031 0.0033 0.4994
O1 O 0.2063 0.9631 0.2695
O2 O 0.2104 0.4817 0.2707
O3 O 0.2711 0.5156 0.7302
O4 O 0.2734 0.0330 0.7321
O5 O 0.7307 0.4874 0.2703
O6 O 0.7316 0.9730 0.2663
O7 O 0.7934 0.5237 0.7288
O8 O 0.7975 0.0424 0.7294
```

---

# 9
Diffraction record for LiY3WO8. The PXRD pattern is computed, not measured: it uses the GGA+U geometry in the Materials Project and CuKα.

Top 8 peaks for 10° ≤ 2θ ≤ 90°, by angle:
index	2theta	I/Imax
1 1 1	22.6	100
0 4 0	32.0	42
0 2 2	33.2	19
2 2 0	35.0	16
2 0 2	43.0	24
1 5 1	45.9	18
1 1 3	47.8	13
2 4 2	54.6	17

Atomic structure:
```
data_LiY3WO8
_cell_length_a 5.7598
_cell_length_b 11.1887
_cell_length_c 6.1523
_cell_angle_alpha 90.00
_cell_angle_beta 90.00
_cell_angle_gamma 90.00
_space_group_name_H-M_alt 'C 2 2 2'
_space_group_IT_number 21
loop_
_space_group_symop_operation_xyz
'x,y,z'
'-x,-y,z'
'x,-y,-z'
'-x,y,-z'
'x+1/2,y+1/2,z'
'-x+1/2,-y+1/2,z'
'x+1/2,-y+1/2,-z'
'-x+1/2,y+1/2,-z'
loop_
_atom_site_label
_atom_site_type_symbol
_atom_site_fract_x
_atom_site_fract_y
_atom_site_fract_z
Li1 Li 0.0000 0.0000 0.0000
Y1 Y 0.0000 0.0000 0.5000
Y2 Y 0.2500 0.2500 0.7416
W1 W 0.0000 0.5000 0.0000
O1 O 0.0000 0.1956 0.5000
O2 O 0.0000 0.3239 0.0000
O3 O 0.2465 0.4712 0.7855
```